Simulated X-ray powder pattern of TbDy2MoO8 for Cu Kα X-rays, from a cell relaxed with GGA+U.
Peak positions follow from Bragg's law for the DFT cell and can differ from measured ones.

Main lines, by angle (2θ = 15–90°):
- 24.75 deg, intensity 59, (0 2 0)
- 25.04 deg, intensity 55, (2 0 0)
- 31.65 deg, intensity 100, (1 1 2)
- 35.49 deg, intensity 29, (2 2 0)
- 48.12 deg, intensity 41, (1 3 2)
- 48.44 deg, intensity 38, (3 1 2)
- 57.84 deg, intensity 10, (4 2 0)
- 60.06 deg, intensity 10, (0 2 4)
- 61.33 deg, intensity 23, (3 3 2)
- 66.10 deg, intensity 11, (2 2 4)

```
data_TbDy2MoO8
_chemical_formula_sum 'Tb2 Dy4 Mo2 O16'
_symmetry_space_group_name_H-M 'C m m m'
_symmetry_Int_Tables_number 65
_symmetry_space_group_name_Hall '-C 2 2'
_cell_length_a 7.1134
_cell_length_b 7.1957
_cell_length_c 6.8184
_cell_angle_alpha 90.00
_cell_angle_beta 90.00
_cell_angle_gamma 90.00
loop_
_atom_site_label
_atom_site_type_symbol
_atom_site_fract_x
_atom_site_fract_y
_atom_site_fract_z
Tb1 Tb 0.0000 0.0000 0.0000
Dy1 Dy 0.0000 0.5000 0.2513
Mo1 Mo 0.0000 0.0000 0.5000
O1 O 0.0000 0.1830 0.2888
O2 O 0.1913 0.5000 0.0000
O3 O 0.2256 0.5000 0.5000
```